Starting from the GGA-PBE geometry in Alexandria, the powder X-ray diffraction pattern of Li2PuIrO5 was calculated for Cu Kα.
No peak broadening, texture or thermal motion is included.

Main lines, in order of falling intensity (10° ≤ 2θ ≤ 80°):
- 13.59 deg, I 100, (0 0 1)
- 34.41 deg, I 37, (1 1 1)
- 42.18 deg, I 31, (1 1 2)
- 31.46 deg, I 20, (1 1 0)
- 47.31 deg, I 18, (2 0 1)
- 27.37 deg, I 18, (0 0 2)
- 53.05 deg, I 17, (1 1 3)
- 45.09 deg, I 15, (2 0 0)
- 53.55 deg, I 12, (2 0 2)
- 76.28 deg, I 8, (3 1 1)
- 66.10 deg, I 7, (1 1 4)
- 72.53 deg, I 7, (0 0 5)

Cell and atoms:
Cell lengths 4.0217, 4.0217, 6.5167 Å; angles 90.00, 90.00, 90.00 degrees
Space group P4/mmm (No. 123)
Unique sites:
Li 0.0000 0.5000 0.0000 (multiplicity 2)
Pu 0.0000 0.0000 0.5000 (multiplicity 1)
Ir 0.5000 0.5000 0.5000 (multiplicity 1)
O 0.0000 0.5000 0.3189 (multiplicity 4)
O 0.5000 0.5000 0.0000 (multiplicity 1)